Simulated PXRD pattern
Compound: TaCrFe2O6
Radiation: Cu Kα X-rays
Structure: a crystal structure in Alexandria, relaxed with PBE+U
Intensities are scaled so that the largest is 1000.

Peak list (12 most intense, 10 to 90 degrees two-theta, low angle first)
19.01 deg, I = 327, (0 0 1); 20.45 deg, I = 605, (0 1 0); 20.68 deg, I = 311, (1 1 1); 23.23 deg, I = 382, (1 1 0); 23.37 deg, I = 710, (0 1 1); 32.07 deg, I = 573, (0 1 -1); 32.21 deg, I = 548, (1 0 -1); 32.53 deg, I = 547, (1 1 2); 34.02 deg, I = 521, (1 -1 0); 34.21 deg, I = 1000, (2 1 1); 47.78 deg, I = 477, (2 0 2); 52.25 deg, I = 320, (2 1 -1)

Structure:
Cell lengths 5.237, 5.250, 5.526 Å; angles 62.53, 62.34, 60.34 degrees
Space group P1 (No. 1)
One atom of each set of equivalent atoms:
Ta 0.000 0.000 0.000 x1
Cr 0.501 0.494 0.504 x1
Fe 0.301 0.284 0.133 x1
Fe 0.798 0.791 0.618 x1
O 0.117 0.731 0.778 x1
O 0.231 0.614 0.276 x1
O 0.367 0.118 0.790 x1
O 0.628 0.862 0.287 x1
O 0.732 0.361 0.783 x1
O 0.874 0.219 0.282 x1